Simulated powder XRD pattern
Compound: Pr2TlInPt4
Radiation: Cu Kα (λ = 1.5418 Å)
Structure: DFT lattice parameters and positions (GGA-PBE)

The 8 most intense peaks (2θ from 10° to 80°), in order of rising 2θ:
- 29.24 deg, d = 3.054 Å, I = 20
- 36.53 deg, d = 2.460 Å, I = 100
- 38.43 deg, d = 2.342 Å, I = 99
- 45.01 deg, d = 2.014 Å, I = 13
- 54.06 deg, d = 1.696 Å, I = 33
- 64.48 deg, d = 1.445 Å, I = 16
- 68.27 deg, d = 1.374 Å, I = 33
- 69.51 deg, d = 1.352 Å, I = 18

Atomic structure:
a b c (Å): 4.6848 4.6848 9.2799
angles (deg): 90.00 90.00 120.00
Element x y z (fractional)
Pr 0.3333 0.6667 0.2497
Pr 0.6667 0.3333 0.7503
Tl 0.0000 0.0000 0.0000
In 0.0000 0.0000 0.5000
Pt 0.3333 0.6667 0.5876
Pt 0.3333 0.6667 0.9038
Pt 0.6667 0.3333 0.0962
Pt 0.6667 0.3333 0.4124

Simulated powder XRD pattern
Compound: TePd12
Radiation: Cu Kα (λ = 1.5418 Å)
Structure: DFT lattice parameters and positions (GGA-PBE)

The 8 most intense peaks (2θ from 10° to 80°), in order of rising 2θ:
- 36.84 deg, d = 2.440 Å, I = 64
- 38.60 deg, d = 2.332 Å, I = 78
- 39.72 deg, d = 2.269 Å, I = 87
- 40.00 deg, d = 2.254 Å, I = 90
- 40.39 deg, d = 2.233 Å, I = 78
- 40.95 deg, d = 2.204 Å, I = 100
- 46.48 deg, d = 1.954 Å, I = 51
- 46.83 deg, d = 1.940 Å, I = 53

Atomic structure:
a b c (Å): 4.7863 6.1134 24.2256
angles (deg): 89.31 89.83 75.61
Element x y z (fractional)
Te 0.1427 0.3268 0.2294
Te 0.8573 0.6732 0.7706
Pd 0.0022 0.7477 0.2661
Pd 0.0021 0.7495 0.5769
Pd 0.1417 0.8290 0.6891
Pd 0.1434 0.8240 0.3784
Pd 0.1446 0.3210 0.5333
Pd 0.2856 0.8922 0.4893
Pd 0.2880 0.3885 0.6439
Pd 0.2885 0.3922 0.3358
Pd 0.4239 0.4729 0.7562
Pd 0.4268 0.4655 0.4447
Pd 0.4297 0.9632 0.5997
Pd 0.4324 0.9627 0.2856
Pd 0.5676 0.0373 0.7144
Pd 0.5703 0.0368 0.4003
Pd 0.5732 0.5345 0.5553
Pd 0.5761 0.5271 0.2438
Pd 0.7115 0.6078 0.6642
Pd 0.7120 0.6115 0.3561
Pd 0.7144 0.1078 0.5107
Pd 0.8554 0.6790 0.4667
Pd 0.8566 0.1760 0.6216
Pd 0.8583 0.1710 0.3109
Pd 0.9979 0.2505 0.4231
Pd 0.9978 0.2523 0.7339

Simulated powder XRD pattern
Compound: TbHoSnC
Radiation: Cu Kα (λ = 1.5418 Å)
Structure: DFT lattice parameters and positions (GGA-PBE)

The 8 most intense peaks (2θ from 10° to 80°), in order of rising 2θ:
- 28.47 deg, d = 3.135 Å, I = 22
- 33.19 deg, d = 2.699 Å, I = 100
- 33.80 deg, d = 2.652 Å, I = 20
- 44.76 deg, d = 2.025 Å, I = 16
- 50.42 deg, d = 1.810 Å, I = 22
- 60.08 deg, d = 1.540 Å, I = 18
- 61.71 deg, d = 1.503 Å, I = 17
- 62.08 deg, d = 1.495 Å, I = 22

Atomic structure:
a b c (Å): 3.6201 3.6201 15.9118
angles (deg): 90.00 90.00 120.00
Element x y z (fractional)
Tb 0.3333 0.6667 0.0853
Tb 0.6667 0.3333 0.9147
Ho 0.3333 0.6667 0.4164
Ho 0.6667 0.3333 0.5836
Sn 0.3333 0.6667 0.7483
Sn 0.6667 0.3333 0.2517
C 0.0000 0.0000 0.0000
C 0.0000 0.0000 0.5000

Simulated powder XRD pattern
Compound: Li2Sc2In2CuAu
Radiation: Cu Kα (λ = 1.5418 Å)
Structure: DFT lattice parameters and positions (GGA-PBE)

The 8 most intense peaks (2θ from 10° to 80°), in order of rising 2θ:
- 23.57 deg, d = 3.775 Å, I = 88
- 38.92 deg, d = 2.314 Å, I = 100
- 39.03 deg, d = 2.308 Å, I = 50
- 45.90 deg, d = 1.977 Å, I = 15
- 46.10 deg, d = 1.969 Å, I = 30
- 56.39 deg, d = 1.632 Å, I = 17
- 70.41 deg, d = 1.337 Å, I = 16
- 70.63 deg, d = 1.334 Å, I = 33

Atomic structure:
a b c (Å): 4.6152 4.6152 6.5632
angles (deg): 90.00 90.00 90.00
Element x y z (fractional)
Li 0.0000 0.0000 0.0000
Li 0.5000 0.5000 0.5000
Sc 0.0000 0.5000 0.7442
Sc 0.5000 0.0000 0.2558
In 0.0000 0.5000 0.2618
In 0.5000 0.0000 0.7382
Cu 0.0000 0.0000 0.5000
Au 0.5000 0.5000 0.0000

Simulated powder XRD pattern
Compound: Er5Co2Te2
Radiation: Cu Kα (λ = 1.5418 Å)
Structure: DFT lattice parameters and positions (GGA-PBE)

The 8 most intense peaks (2θ from 10° to 80°), in order of rising 2θ:
- 29.07 deg, d = 3.072 Å, I = 39
- 29.70 deg, d = 3.008 Å, I = 100
- 33.79 deg, d = 2.653 Å, I = 78
- 34.03 deg, d = 2.635 Å, I = 86
- 34.33 deg, d = 2.612 Å, I = 39
- 38.48 deg, d = 2.340 Å, I = 46
- 46.49 deg, d = 1.953 Å, I = 36
- 58.85 deg, d = 1.569 Å, I = 35

Atomic structure:
a b c (Å): 7.7073 7.7073 14.8957
angles (deg): 90.00 90.00 150.64
Element x y z (fractional)
Er 0.0384 0.9616 0.6267
Er 0.0384 0.9616 0.8733
Er 0.2586 0.7414 0.1313
Er 0.2586 0.7414 0.3687
Er 0.3935 0.6065 0.7500
Er 0.6065 0.3935 0.2500
Er 0.7414 0.2586 0.6313
Er 0.7414 0.2586 0.8687
Er 0.9616 0.0384 0.1267
Er 0.9616 0.0384 0.3733
Co 0.1807 0.8193 0.7500
Co 0.4123 0.5877 0.2500
Co 0.5877 0.4123 0.7500
Co 0.8193 0.1807 0.2500
Te 0.3822 0.6178 0.5379
Te 0.3822 0.6178 0.9621
Te 0.6178 0.3822 0.0379
Te 0.6178 0.3822 0.4621

Simulated powder XRD pattern
Compound: Y2NiPt
Radiation: Cu Kα (λ = 1.5418 Å)
Structure: DFT lattice parameters and positions (GGA-PBE)

The 8 most intense peaks (2θ from 10° to 80°), in order of rising 2θ:
- 12.72 deg, d = 6.957 Å, I = 77
- 29.07 deg, d = 3.072 Å, I = 58
- 32.78 deg, d = 2.732 Å, I = 94
- 36.56 deg, d = 2.458 Å, I = 100
- 36.92 deg, d = 2.434 Å, I = 53
- 40.66 deg, d = 2.219 Å, I = 63
- 40.89 deg, d = 2.207 Å, I = 71
- 40.99 deg, d = 2.202 Å, I = 75

Atomic structure:
a b c (Å): 5.4904 4.4140 6.9579
angles (deg): 90.00 90.87 90.00
Element x y z (fractional)
Y 0.1408 0.2500 0.3106
Y 0.3544 0.2500 0.8228
Y 0.6456 0.7500 0.1772
Y 0.8592 0.7500 0.6894
Ni 0.1297 0.7500 0.0341
Ni 0.8703 0.2500 0.9659
Pt 0.3429 0.7500 0.5444
Pt 0.6571 0.2500 0.4556